Computed powder diffractogram of Dy6AlS4 for Cu Ka, from a crystal structure in Alexandria, relaxed with GGA-PBE.
Intensities are scaled so that the largest is 100.

Lattice parameters (Å, degrees): 6.8203 6.8203 19.9793 90.00 90.00 146.82
Fractional coordinates of all 22 atoms:
Dy 0.0000 0.0000 0.0000
Dy 0.0000 0.0000 0.5000
Dy 0.1588 0.8412 0.7500
Dy 0.2720 0.7280 0.0855
Dy 0.2720 0.7280 0.4145
Dy 0.4557 0.5443 0.6608
Dy 0.4557 0.5443 0.8392
Dy 0.5443 0.4557 0.1608
Dy 0.5443 0.4557 0.3392
Dy 0.7280 0.2720 0.5855
Dy 0.7280 0.2720 0.9145
Dy 0.8412 0.1588 0.2500
Al 0.1661 0.8339 0.2500
Al 0.8339 0.1661 0.7500
S 0.0912 0.9088 0.6223
S 0.0912 0.9088 0.8777
S 0.3618 0.6382 0.5393
S 0.3618 0.6382 0.9607
S 0.6382 0.3618 0.0393
S 0.6382 0.3618 0.4607
S 0.9088 0.0912 0.1223
S 0.9088 0.0912 0.3777

Principal peaks in the range 2θ from 15° to 90°, most intense first:
d [Å], I (rel.)
2.967, 100
2.788, 79
1.908, 54
2.873, 52
3.256, 49
2.990, 49
1.628, 36
2.662, 31
1.947, 29
3.225, 28